# Gd2Tl8Co
Simulated X-ray diffraction stick pattern, Cu Kα. Input: DFT lattice parameters and positions (GGA-PBE).

Crystal structure
Lattice parameters (Å, degrees): 4.740 4.740 12.607 90.00 90.00 90.00
Atoms (fractional coordinates):
Gd: 0.000 0.000 0.198
Gd: 0.000 0.000 0.802
Tl: 0.000 0.500 0.000
Tl: 0.000 0.500 0.380
Tl: 0.000 0.500 0.620
Tl: 0.500 0.000 0.000
Tl: 0.500 0.000 0.380
Tl: 0.500 0.000 0.620
Tl: 0.500 0.500 0.189
Tl: 0.500 0.500 0.811
Co: 0.000 0.000 0.500

Largest 6 diffraction maxima, low angle first, 10 to 90 degrees two-theta:
| Position (°2θ) | I/Imax |
| --- | --- |
| 30.20 | 46.2 |
| 34.22 | 100.0 |
| 35.61 | 24.7 |
| 37.97 | 57.6 |
| 53.03 | 32.3 |
| 66.20 | 30.0 |